Entry 1:
MgNbAgO3: theoretical powder diffraction line list (CuKα), based on DFT lattice parameters and positions (PBE).
Kinematic intensities with the Lorentz-polarization factor, no thermal factor.

Structure:
Unit cell a=4.159 b=4.159 c=4.682 alpha=90.00 beta=90.00 gamma=90.00
Fractional coordinates of all 6 atoms:
Mg1 0.000 0.000 0.000
Nb1 0.500 0.500 0.000
Ag1 0.000 0.000 0.500
O1 0.000 0.500 0.000
O2 0.500 0.000 0.000
O3 0.500 0.500 0.500

Largest 10 diffraction maxima, low angle first, 2θ from 10° to 80°:
2θ/deg	I (rel.)
28.71	100
30.39	74
38.46	33
43.52	45
49.78	37
52.97	36
59.45	33
63.24	14
71.77	12
76.50	15


Entry 2:
NdMgAg2: theoretical powder diffraction line list (CuKα), based on DFT lattice parameters and positions (PBE).
Kinematic intensities with the Lorentz-polarization factor, no thermal factor.

Structure:
Unit cell a=7.162 b=7.162 c=7.162 alpha=90.00 beta=90.00 gamma=90.00
Fractional coordinates of all 16 atoms:
Nd1 0.000 0.000 0.000
Nd2 0.000 0.500 0.500
Nd3 0.500 0.000 0.500
Nd4 0.500 0.500 0.000
Mg1 0.000 0.000 0.500
Mg2 0.000 0.500 0.000
Mg3 0.500 0.000 0.000
Mg4 0.500 0.500 0.500
Ag1 0.250 0.250 0.250
Ag2 0.250 0.250 0.750
Ag3 0.250 0.750 0.250
Ag4 0.250 0.750 0.750
Ag5 0.750 0.250 0.250
Ag6 0.750 0.250 0.750
Ag7 0.750 0.750 0.250
Ag8 0.750 0.750 0.750

Largest 10 diffraction maxima, low angle first, 2θ from 10° to 80°:
2θ/deg	I (rel.)
21.49	21
24.86	3
35.45	100
41.83	11
51.01	17
55.96	5
63.65	35
68.02	4
75.02	11
79.11	4


Entry 3:
NdMg2Ag: theoretical powder diffraction line list (CuKα), based on DFT lattice parameters and positions (PBE).
Kinematic intensities with the Lorentz-polarization factor, no thermal factor.

Structure:
Unit cell a=7.192 b=7.192 c=7.192 alpha=90.00 beta=90.00 gamma=90.00
Fractional coordinates of all 16 atoms:
Nd1 0.000 0.000 0.000
Nd2 0.000 0.500 0.500
Nd3 0.500 0.000 0.500
Nd4 0.500 0.500 0.000
Mg1 0.250 0.250 0.250
Mg2 0.250 0.250 0.750
Mg3 0.250 0.750 0.250
Mg4 0.250 0.750 0.750
Mg5 0.750 0.250 0.250
Mg6 0.750 0.250 0.750
Mg7 0.750 0.750 0.250
Mg8 0.750 0.750 0.750
Ag1 0.000 0.000 0.500
Ag2 0.000 0.500 0.000
Ag3 0.500 0.000 0.000
Ag4 0.500 0.500 0.500

Largest 10 diffraction maxima, low angle first, 2θ from 10° to 80°:
2θ/deg	I (rel.)
21.40	2
24.76	55
35.30	100
41.65	1
43.59	16
50.78	17
55.71	1
57.29	21
63.35	35
74.65	11


Entry 4:
MgAg2O4: theoretical powder diffraction line list (CuKα), based on DFT lattice parameters and positions (PBE).
Kinematic intensities with the Lorentz-polarization factor, no thermal factor.

Structure:
Unit cell a=6.274 b=6.274 c=20.998 alpha=97.70 beta=97.70 gamma=62.55
Fractional coordinates of all 56 atoms:
Mg1 0.000 0.000 0.000
Mg2 0.123 0.123 0.874
Mg3 0.232 0.232 0.155
Mg4 0.249 0.249 0.750
Mg5 0.374 0.374 0.626
Mg6 0.500 0.500 0.500
Mg7 0.750 0.750 0.249
Mg8 0.982 0.982 0.405
Ag1 0.002 0.491 0.998
Ag2 0.004 0.498 0.501
Ag3 0.017 0.017 0.593
Ag4 0.246 0.751 0.249
Ag5 0.249 0.749 0.750
Ag6 0.272 0.272 0.344
Ag7 0.482 0.482 0.907
Ag8 0.491 0.002 0.998
Ag9 0.498 0.004 0.501
Ag10 0.522 0.522 0.093
Ag11 0.626 0.626 0.376
Ag12 0.731 0.731 0.658
Ag13 0.749 0.249 0.750
Ag14 0.751 0.246 0.249
Ag15 0.766 0.766 0.841
Ag16 0.874 0.874 0.125
O1 0.044 0.589 0.191
O2 0.062 0.062 0.697
O3 0.064 0.064 0.187
O4 0.113 0.537 0.692
O5 0.138 0.703 0.057
O6 0.181 0.181 0.058
O7 0.196 0.196 0.561
O8 0.211 0.638 0.558
O9 0.284 0.862 0.942
O10 0.299 0.299 0.939
O11 0.313 0.313 0.450
O12 0.342 0.800 0.441
O13 0.386 0.959 0.807
O14 0.436 0.436 0.802
O15 0.448 0.448 0.312
O16 0.456 0.889 0.310
O17 0.537 0.113 0.692
O18 0.549 0.549 0.691
O19 0.561 0.561 0.199
O20 0.589 0.044 0.191
O21 0.638 0.211 0.558
O22 0.687 0.687 0.550
O23 0.696 0.696 0.056
O24 0.703 0.138 0.057
O25 0.800 0.342 0.441
O26 0.811 0.811 0.439
O27 0.811 0.811 0.946
O28 0.862 0.284 0.942
O29 0.889 0.456 0.310
O30 0.933 0.933 0.305
O31 0.949 0.949 0.808
O32 0.959 0.386 0.807

Largest 10 diffraction maxima, low angle first, 2θ from 10° to 80°:
2θ/deg	I (rel.)
17.56	53
28.51	92
32.46	100
32.72	54
33.09	81
33.59	32
33.85	33
53.43	35
57.64	42
58.95	38


Entry 5:
MgAg2O4: theoretical powder diffraction line list (CuKα), based on DFT lattice parameters and positions (PBE).
Kinematic intensities with the Lorentz-polarization factor, no thermal factor.

Structure:
Unit cell a=6.316 b=6.316 c=6.316 alpha=119.75 beta=119.75 gamma=90.43
Fractional coordinates of all 14 atoms:
Mg1 0.375 0.125 0.250
Mg2 0.625 0.875 0.750
Ag1 0.000 0.000 0.500
Ag2 0.000 0.500 0.000
Ag3 0.000 0.500 0.500
Ag4 0.500 0.500 0.000
O1 0.140 0.744 0.941
O2 0.244 0.803 0.604
O3 0.301 0.360 0.104
O4 0.303 0.199 0.559
O5 0.697 0.801 0.441
O6 0.699 0.640 0.896
O7 0.756 0.197 0.396
O8 0.860 0.256 0.059

Largest 10 diffraction maxima, low angle first, 2θ from 10° to 80°:
2θ/deg	I (rel.)
17.18	100
33.17	89
33.35	27
34.75	62
40.24	34
40.55	19
44.19	14
53.10	18
58.46	30
69.61	24


Entry 6:
MgAg2O4: theoretical powder diffraction line list (CuKα), based on DFT lattice parameters and positions (PBE).
Kinematic intensities with the Lorentz-polarization factor, no thermal factor.

Structure:
Unit cell a=9.544 b=3.128 c=11.030 alpha=90.00 beta=90.00 gamma=90.00
Fractional coordinates of all 28 atoms:
Mg1 0.250 0.250 0.158
Mg2 0.250 0.750 0.658
Mg3 0.750 0.250 0.342
Mg4 0.750 0.750 0.842
Ag1 0.067 0.250 0.389
Ag2 0.086 0.250 0.893
Ag3 0.414 0.750 0.393
Ag4 0.433 0.750 0.889
Ag5 0.567 0.250 0.111
Ag6 0.586 0.250 0.607
Ag7 0.914 0.750 0.107
Ag8 0.933 0.750 0.611
O1 0.023 0.750 0.776
O2 0.122 0.750 0.039
O3 0.127 0.250 0.572
O4 0.223 0.750 0.296
O5 0.277 0.250 0.796
O6 0.373 0.750 0.072
O7 0.378 0.250 0.539
O8 0.477 0.250 0.276
O9 0.523 0.750 0.724
O10 0.622 0.750 0.461
O11 0.627 0.250 0.928
O12 0.723 0.750 0.204
O13 0.777 0.250 0.704
O14 0.873 0.750 0.428
O15 0.878 0.250 0.961
O16 0.977 0.250 0.224

Largest 10 diffraction maxima, low angle first, 2θ from 10° to 80°:
2θ/deg	I (rel.)
18.59	49
32.48	79
34.28	100
37.69	9
47.94	42
50.60	10
57.95	15
59.10	46
69.05	17
78.44	11


Entry 7:
MgAg2O4: theoretical powder diffraction line list (CuKα), based on DFT lattice parameters and positions (PBE).
Kinematic intensities with the Lorentz-polarization factor, no thermal factor.

Structure:
Unit cell a=6.344 b=5.578 c=12.635 alpha=90.00 beta=119.49 gamma=90.00
Fractional coordinates of all 28 atoms:
Mg1 0.000 0.080 0.250
Mg2 0.000 0.920 0.750
Mg3 0.500 0.365 0.750
Mg4 0.500 0.635 0.250
Ag1 0.000 0.500 0.000
Ag2 0.000 0.500 0.500
Ag3 0.285 0.035 0.035
Ag4 0.285 0.965 0.535
Ag5 0.500 0.500 0.000
Ag6 0.500 0.500 0.500
Ag7 0.715 0.035 0.465
Ag8 0.715 0.965 0.965
O1 0.159 0.277 0.414
O2 0.159 0.723 0.914
O3 0.181 0.149 0.684
O4 0.181 0.851 0.184
O5 0.315 0.149 0.819
O6 0.315 0.851 0.319
O7 0.358 0.395 0.114
O8 0.358 0.605 0.614
O9 0.642 0.395 0.386
O10 0.642 0.605 0.886
O11 0.685 0.149 0.681
O12 0.685 0.851 0.181
O13 0.819 0.149 0.816
O14 0.819 0.851 0.316
O15 0.841 0.277 0.086
O16 0.841 0.723 0.586

Largest 10 diffraction maxima, low angle first, 2θ from 10° to 80°:
2θ/deg	I (rel.)
16.12	100
32.09	24
32.50	60
36.11	36
36.31	41
36.60	41
46.39	31
46.89	16
57.45	14
58.17	10


Entry 8:
MgAg2O4: theoretical powder diffraction line list (CuKα), based on DFT lattice parameters and positions (PBE).
Kinematic intensities with the Lorentz-polarization factor, no thermal factor.

Structure:
Unit cell a=7.227 b=7.227 c=7.227 alpha=131.89 beta=131.89 gamma=70.40
Fractional coordinates of all 14 atoms:
Mg1 0.375 0.625 0.750
Mg2 0.625 0.375 0.250
Ag1 0.000 0.000 0.000
Ag2 0.000 0.000 0.500
Ag3 0.000 0.500 0.000
Ag4 0.500 0.000 0.500
O1 0.216 0.731 0.485
O2 0.253 0.269 0.985
O3 0.269 0.253 0.485
O4 0.269 0.784 0.015
O5 0.731 0.216 0.985
O6 0.731 0.747 0.515
O7 0.747 0.731 0.015
O8 0.784 0.269 0.515

Largest 10 diffraction maxima, low angle first, 2θ from 10° to 80°:
2θ/deg	I (rel.)
16.82	100
27.24	79
30.27	48
34.01	52
34.89	58
41.20	40
43.44	35
52.02	17
53.86	47
56.88	16


Entry 9:
MgAg2O4: theoretical powder diffraction line list (CuKα), based on DFT lattice parameters and positions (PBE).
Kinematic intensities with the Lorentz-polarization factor, no thermal factor.

Structure:
Unit cell a=6.434 b=6.434 c=15.296 alpha=90.00 beta=90.00 gamma=120.00
Fractional coordinates of all 42 atoms:
Mg1 0.000 0.000 0.000
Mg2 0.000 0.000 0.239
Mg3 0.000 0.000 0.622
Mg4 0.333 0.667 0.671
Mg5 0.667 0.333 0.334
Mg6 0.667 0.333 0.953
Ag1 0.165 0.330 0.454
Ag2 0.165 0.835 0.454
Ag3 0.332 0.166 0.786
Ag4 0.333 0.667 0.285
Ag5 0.333 0.667 0.908
Ag6 0.503 0.006 0.118
Ag7 0.503 0.497 0.118
Ag8 0.667 0.333 0.572
Ag9 0.670 0.835 0.454
Ag10 0.834 0.166 0.786
Ag11 0.834 0.668 0.786
Ag12 0.994 0.497 0.118
O1 0.000 0.000 0.369
O2 0.000 0.000 0.868
O3 0.018 0.509 0.378
O4 0.153 0.305 0.705
O5 0.153 0.847 0.705
O6 0.173 0.346 0.197
O7 0.173 0.827 0.197
O8 0.289 0.145 0.531
O9 0.333 0.667 0.048
O10 0.333 0.667 0.539
O11 0.357 0.179 0.033
O12 0.491 0.509 0.378
O13 0.491 0.982 0.378
O14 0.522 0.043 0.861
O15 0.522 0.478 0.861
O16 0.654 0.827 0.197
O17 0.667 0.333 0.201
O18 0.667 0.333 0.709
O19 0.695 0.847 0.705
O20 0.821 0.179 0.033
O21 0.821 0.643 0.033
O22 0.855 0.145 0.531
O23 0.855 0.711 0.531
O24 0.957 0.478 0.861

Largest 10 diffraction maxima, low angle first, 2θ from 10° to 80°:
2θ/deg	I (rel.)
16.94	49
17.39	62
28.31	32
32.67	100
32.92	86
33.41	45
34.26	53
40.04	71
57.28	51
58.55	48


Entry 10:
MgAg2O4: theoretical powder diffraction line list (CuKα), based on DFT lattice parameters and positions (PBE).
Kinematic intensities with the Lorentz-polarization factor, no thermal factor.

Structure:
Unit cell a=6.275 b=6.275 c=6.275 alpha=61.82 beta=61.82 gamma=61.82
Fractional coordinates of all 14 atoms:
Mg1 0.000 0.000 0.000
Mg2 0.384 0.384 0.384
Ag1 0.383 0.383 0.889
Ag2 0.383 0.889 0.383
Ag3 0.767 0.767 0.767
Ag4 0.889 0.383 0.383
O1 0.132 0.132 0.132
O2 0.147 0.147 0.604
O3 0.147 0.604 0.147
O4 0.186 0.621 0.621
O5 0.604 0.147 0.147
O6 0.621 0.186 0.621
O7 0.621 0.621 0.186
O8 0.629 0.629 0.629

Largest 10 diffraction maxima, low angle first, 2θ from 10° to 80°:
2θ/deg	I (rel.)
17.55	55
19.75	26
28.47	42
32.62	100
32.96	61
33.64	31
34.23	35
40.12	40
57.15	39
58.91	35